Diffraction record for SrLiMn4. The XRD peak list is calculated, not measured: it uses a cell relaxed with PBE and Cu Kα X-rays.
Neutral-atom scattering factors, no anomalous dispersion.

Cell: 7.8218 7.8218 7.8218 Å, 90.00 90.00 90.00°
Space group F-43m (No. 216)
Symmetry-distinct sites (fractional):
Sr 0.0000 0.0000 0.0000 (multiplicity 4)
Li 0.2500 0.2500 0.7500 (multiplicity 4)
Mn 0.1229 0.1229 0.3771 (multiplicity 16)

Peak list (10 most intense, 15° ≤ 2θ ≤ 90°, low angle first)
2θ (°)  Rel. int.  index
19.66  27.8  1 1 1
22.74  22.0  2 0 0
32.37  19.8  2 2 0
38.16  100.0  3 1 1
39.93  47.5  2 2 2
50.89  7.6  3 3 1
61.61  31.1  5 1 1
67.77  23.7  4 4 0
80.53  10.1  5 3 3
81.65  14.9  6 2 2